LaMg2Zn2Ga2: calculated X-ray diffraction stick pattern (Cu Ka), based on a crystal structure in Alexandria, relaxed with PBE.
Lines closer than 0.1° are merged.

Main lines, low angle first (2θ = 10–90°):
- 10.40 deg, intensity 43.8
- 20.89 deg, intensity 14.0
- 27.03 deg, intensity 30.5
- 29.03 deg, intensity 56.4
- 33.84 deg, intensity 75.4
- 36.56 deg, intensity 42.8
- 40.54 deg, intensity 100.0
- 42.51 deg, intensity 19.8
- 53.82 deg, intensity 24.0
- 60.19 deg, intensity 39.4
- 69.51 deg, intensity 29.7
- 73.74 deg, intensity 16.1

Cell and atoms:
Cell lengths 8.886, 8.886, 8.886 Å; angles 29.01, 29.01, 29.01 degrees
Sites, in units of the cell vectors:
La 0.000 0.000 0.000
Mg 0.136 0.136 0.136
Mg 0.864 0.864 0.864
Zn 0.414 0.414 0.414
Zn 0.586 0.586 0.586
Ga 0.253 0.253 0.253
Ga 0.747 0.747 0.747

---

Pu7Ir2Pb: calculated X-ray diffraction stick pattern (Cu Ka), based on a crystal structure in Alexandria, relaxed with PBE.
Lines closer than 0.1° are merged.

Main lines, low angle first (2θ = 10–90°):
- 22.10 deg, intensity 10.1
- 26.69 deg, intensity 9.0
- 30.96 deg, intensity 13.3
- 31.09 deg, intensity 9.3
- 35.64 deg, intensity 100.0
- 38.10 deg, intensity 51.9
- 49.96 deg, intensity 10.3
- 54.98 deg, intensity 18.4
- 62.37 deg, intensity 10.7
- 63.03 deg, intensity 10.5
- 67.26 deg, intensity 32.9
- 88.43 deg, intensity 8.9

Cell and atoms:
Cell lengths 11.981, 11.981, 11.981 Å; angles 157.26, 157.26, 32.37 degrees
Sites, in units of the cell vectors:
Pu 0.000 0.000 0.000
Pu 0.102 0.602 0.500
Pu 0.250 0.750 0.500
Pu 0.398 0.898 0.500
Pu 0.602 0.102 0.500
Pu 0.750 0.250 0.500
Pu 0.898 0.398 0.500
Ir 0.171 0.171 0.000
Ir 0.829 0.829 0.000
Pb 0.500 0.500 0.000